Diffraction record for LiPm2Rh. The powder diffractogram is simulated, not measured: it uses a GGA-PBE-relaxed structure and Cu Kα, 1.54184 Å.
No peak broadening, texture or thermal motion is included.

Atomic structure:
```
data_LiPm2Rh
_cell_length_a 7.176
_cell_length_b 7.176
_cell_length_c 7.176
_cell_angle_alpha 90.00
_cell_angle_beta 90.00
_cell_angle_gamma 90.00
_space_group_name_H-M_alt 'F m -3 m'
_space_group_IT_number 225
_space_group_name_Hall '-F 4 2 3'
loop_
_atom_site_label
_atom_site_type_symbol
_atom_site_fract_x
_atom_site_fract_y
_atom_site_fract_z
Li1 Li 0.000 0.000 0.000
Pm1 Pm 0.250 0.250 0.250
Rh1 Rh 0.000 0.000 0.500
```

Peak list (10 most intense, 10° ≤ 2θ ≤ 90°, by intensity)
Position (°2θ), Rel. int.
35.38, 100
63.51, 36
24.81, 25
50.90, 18
85.60, 16
21.45, 15
74.84, 11
57.43, 10
41.74, 8
43.69, 8